Starting from the GGA-PBE geometry in the Materials Project, the powder diffractogram of NaNb2O4 was simulated for Cu Kα.

Principal peaks in the range 15 to 90 degrees two-theta, sorted by position:
hkl 0 4 0, 29.4 deg, d 3.039, I 25.4; hkl 2 1 0, 35.6 deg, d 2.524, I 100.0; hkl 1 2 2, 37.9 deg, d 2.376, I 14.2; hkl 2 3 0, 41.5 deg, d 2.177, I 66.0; hkl 1 4 2, 46.1 deg, d 1.967, I 43.8; hkl 2 5 0, 51.7 deg, d 1.769, I 32.8; hkl 1 6 2, 57.9 deg, d 1.594, I 13.8; hkl 0 0 4, 62.3 deg, d 1.490, I 24.0; hkl 0 2 4, 64.4 deg, d 1.447, I 20.7; hkl 2 7 0, 64.7 deg, d 1.441, I 17.3

Cell lengths 5.158, 12.155, 5.964 Å; angles 90.00, 90.00, 90.00 degrees
Space group Pbcm (No. 57)
Symmetry-distinct sites (fractional):
Na: 0.190 0.004 0.250 [4 per cell]
Nb: 0.159 0.747 0.250 [4 per cell]
Nb: 0.344 0.250 0.000 [4 per cell]
O: 0.009 0.146 0.503 [8 per cell]
O: 0.487 0.649 0.750 [4 per cell]
O: 0.496 0.647 0.250 [4 per cell]

***

Starting from the GGA-PBE geometry in the Materials Project, the powder diffractogram of BaSnF6 was simulated for Cu Kα.

Principal peaks in the range 15 to 90 degrees two-theta, sorted by position:
hkl 1 1 0, 23.4 deg, d 3.804, I 100.0; hkl 0 1 2, 27.3 deg, d 3.272, I 64.4; hkl 2 0 2, 36.2 deg, d 2.481, I 25.3; hkl 3 0 0, 41.1 deg, d 2.196, I 16.8; hkl 1 2 2, 43.6 deg, d 2.078, I 66.4; hkl 2 2 0, 47.8 deg, d 1.902, I 16.9; hkl 1 0 4, 50.3 deg, d 1.812, I 11.9; hkl 3 1 2, 55.9 deg, d 1.644, I 16.1; hkl 3 -1 4, 61.7 deg, d 1.503, I 22.7; hkl 4 1 0, 64.9 deg, d 1.438, I 15.4

Cell lengths 7.6078, 7.6078, 7.5406 Å; angles 90.00, 90.00, 120.00 degrees
Space group R-3 (No. 148, hexagonal axes)
Symmetry-distinct sites (fractional):
Ba: 0.0000 0.0000 0.0000 [3 per cell]
Sn: 0.0000 0.0000 0.5000 [3 per cell]
F: 0.0825 0.8472 0.6649 [18 per cell]

***

Starting from the GGA-PBE geometry in the Materials Project, the powder diffractogram of Na3CuBSO7 was simulated for Cu Kα.

Principal peaks in the range 15 to 90 degrees two-theta, sorted by position:
hkl 0 1 1, 15.9 deg, d 5.576, I 37.0; hkl 1 0 -1, 19.9 deg, d 4.463, I 26.5; hkl 1 0 1, 20.2 deg, d 4.387, I 28.6; hkl 0 2 0, 24.6 deg, d 3.613, I 100.0; hkl 1 0 -2, 26.5 deg, d 3.364, I 33.7; hkl 1 2 -1, 31.9 deg, d 2.808, I 55.3; hkl 1 2 1, 32.1 deg, d 2.789, I 70.7; hkl 2 0 0, 35.0 deg, d 2.562, I 71.2; hkl 2 0 -3, 46.7 deg, d 1.946, I 28.1; hkl 0 4 0, 50.5 deg, d 1.806, I 29.5

Cell lengths 5.127, 7.226, 8.768 Å; angles 90.00, 91.10, 90.00 degrees
Space group P2_1/m (No. 11)
Symmetry-distinct sites (fractional):
Na: 0.242 0.250 0.072 [2 per cell]
Na: 0.249 0.005 0.750 [4 per cell]
Cu: 0.223 0.750 0.338 [2 per cell]
B: 0.265 0.750 0.065 [2 per cell]
S: 0.293 0.250 0.416 [2 per cell]
O: 0.028 0.750 0.141 [2 per cell]
O: 0.155 0.250 0.565 [2 per cell]
O: 0.225 0.084 0.324 [4 per cell]
O: 0.284 0.750 0.911 [2 per cell]
O: 0.417 0.750 0.548 [2 per cell]
O: 0.476 0.750 0.167 [2 per cell]

***

Starting from the GGA-PBE geometry in the Materials Project, the powder diffractogram of Te2Au was simulated for Cu Kα.

Principal peaks in the range 15 to 90 degrees two-theta, sorted by position:
hkl 1 0 -2, 17.2 deg, d 5.149, I 17.3; hkl 0 1 2, 29.2 deg, d 3.056, I 100.0; hkl 3 0 -2, 29.9 deg, d 2.989, I 43.5; hkl 0 2 0, 40.7 deg, d 2.216, I 17.5; hkl 3 1 0, 42.2 deg, d 2.144, I 36.7; hkl 3 1 -4, 42.4 deg, d 2.130, I 34.1; hkl 0 0 4, 42.9 deg, d 2.109, I 25.5; hkl 3 2 -2, 51.3 deg, d 1.780, I 16.3; hkl 0 2 4, 60.6 deg, d 1.528, I 15.1; hkl 0 1 6, 70.2 deg, d 1.340, I 10.8

Cell lengths 8.966, 4.432, 10.297 Å; angles 90.00, 124.97, 90.00 degrees
Space group Pc (No. 7)
Symmetry-distinct sites (fractional):
Te: 0.000 0.014 0.000 [2 per cell]
Te: 0.378 0.051 0.979 [2 per cell]
Te: 0.500 0.435 0.250 [2 per cell]
Te: 0.878 0.443 0.226 [2 per cell]
Au: 0.188 0.489 0.238 [2 per cell]
Au: 0.689 0.004 0.989 [2 per cell]

***

Starting from the GGA-PBE geometry in the Materials Project, the powder diffractogram of ScCo3B2 was simulated for Cu Kα.

Principal peaks in the range 15 to 90 degrees two-theta, sorted by position:
hkl 0 0 1, 30.0 deg, d 2.981, I 28.4; hkl 1 0 1, 36.9 deg, d 2.437, I 60.5; hkl 2 0 0, 42.7 deg, d 2.116, I 100.0; hkl 1 1 1, 48.2 deg, d 1.890, I 40.1; hkl 2 0 1, 53.1 deg, d 1.726, I 45.4; hkl 0 0 2, 62.3 deg, d 1.491, I 11.9; hkl 2 1 1, 66.3 deg, d 1.410, I 19.0; hkl 3 0 1, 74.4 deg, d 1.275, I 9.7; hkl 2 2 0, 78.3 deg, d 1.222, I 17.4; hkl 2 0 2, 78.5 deg, d 1.219, I 28.6

Cell lengths 4.8868, 4.8868, 2.9812 Å; angles 90.00, 90.00, 120.00 degrees
Space group P6/mmm (No. 191)
Symmetry-distinct sites (fractional):
Sc: 0.0000 0.0000 0.0000 [1 per cell]
Co: 0.0000 0.5000 0.5000 [3 per cell]
B: 0.3333 0.6667 0.0000 [2 per cell]

***

Starting from the GGA-PBE geometry in the Materials Project, the powder diffractogram of AuCS2Cl3 was simulated for Cu Kα.

Principal peaks in the range 15 to 90 degrees two-theta, sorted by position:
hkl 1 1 1, 15.7 deg, d 5.634, I 82.9; hkl 1 1 -2, 17.5 deg, d 5.066, I 39.0; hkl 0 0 2, 17.6 deg, d 5.032, I 63.4; hkl 2 2 -1, 20.3 deg, d 4.382, I 90.9; hkl 3 1 -2, 20.6 deg, d 4.318, I 38.9; hkl 3 1 0, 21.5 deg, d 4.136, I 32.2; hkl 2 2 -3, 28.4 deg, d 3.139, I 100.0; hkl 3 1 2, 33.8 deg, d 2.650, I 20.6; hkl 1 3 3, 39.8 deg, d 2.266, I 24.2; hkl 4 4 -4, 47.0 deg, d 1.934, I 32.8

Cell lengths 15.530, 10.712, 11.620 Å; angles 90.00, 119.99, 90.00 degrees
Space group C2/c (No. 15)
Symmetry-distinct sites (fractional):
Au: 0.169 0.123 0.038 [8 per cell]
C: 0.025 0.273 0.049 [8 per cell]
S: 0.003 0.164 0.569 [8 per cell]
S: 0.148 0.285 0.160 [8 per cell]
Cl: 0.061 0.363 0.445 [8 per cell]
Cl: 0.158 0.392 0.831 [8 per cell]
Cl: 0.160 0.036 0.395 [8 per cell]

***

Starting from the GGA-PBE geometry in the Materials Project, the powder diffractogram of Sm5Sn4 was simulated for Cu Kα.

Principal peaks in the range 15 to 90 degrees two-theta, sorted by position:
hkl 1 3 2, 29.3 deg, d 3.046, I 100.0; hkl 2 3 1, 29.6 deg, d 3.020, I 57.8; hkl 2 0 2, 30.6 deg, d 2.926, I 33.0; hkl 0 4 2, 31.1 deg, d 2.879, I 59.9; hkl 2 4 0, 31.4 deg, d 2.851, I 25.4; hkl 1 5 1, 32.1 deg, d 2.792, I 30.0; hkl 2 4 1, 33.2 deg, d 2.698, I 54.9; hkl 0 6 0, 33.9 deg, d 2.647, I 28.1; hkl 1 1 3, 34.4 deg, d 2.604, I 56.3; hkl 3 0 1, 34.6 deg, d 2.595, I 46.9

Cell lengths 8.189, 15.883, 8.365 Å; angles 90.00, 90.00, 90.00 degrees
Space group Pnma (No. 62)
Symmetry-distinct sites (fractional):
Sm: 0.020 0.100 0.181 [8 per cell]
Sm: 0.133 0.621 0.334 [8 per cell]
Sm: 0.197 0.250 0.502 [4 per cell]
Sn: 0.066 0.250 0.881 [4 per cell]
Sn: 0.174 0.750 0.644 [4 per cell]
Sn: 0.207 0.041 0.533 [8 per cell]

***

Starting from the GGA-PBE geometry in the Materials Project, the powder diffractogram of TcMo was simulated for Cu Kα.

Principal peaks in the range 15 to 90 degrees two-theta, sorted by position:
hkl 0 2 0, 40.3 deg, d 2.240, I 20.9; hkl 1 1 1, 40.9 deg, d 2.209, I 100.0; hkl 0 2 2, 58.7 deg, d 1.574, I 13.4; hkl 2 0 0, 59.7 deg, d 1.549, I 6.3; hkl 1 3 1, 73.6 deg, d 1.287, I 13.5; hkl 1 1 3, 74.3 deg, d 1.276, I 13.1; hkl 2 2 0, 74.5 deg, d 1.274, I 6.5; hkl 2 0 2, 74.8 deg, d 1.269, I 6.4; hkl 0 4 0, 87.0 deg, d 1.120, I 2.2; hkl 2 2 2, 88.6 deg, d 1.104, I 8.6

Cell lengths 3.098, 4.481, 4.422 Å; angles 90.00, 90.00, 90.00 degrees
Space group Cmmm (No. 65)
Symmetry-distinct sites (fractional):
Tc: 0.000 0.000 0.000 [2 per cell]
Mo: 0.000 0.500 0.500 [2 per cell]